Record 1
Theoretical powder XRD pattern of Er4ThZn5 for λ = 1.5418 Å (Cu Kα), from a crystal structure in Alexandria, relaxed with GGA-PBE.
Intensities are scaled so that the largest is 100.

Atomic structure:
```
Er4ThZn5
1.0
3.550 0.000 0.000
0.000 3.550 0.000
0.000 0.000 17.939
Er Th Zn
4 1 5
Cartesian
0.000 0.000 1.760
0.000 0.000 5.278
0.000 0.000 12.661
0.000 0.000 16.179
0.000 0.000 8.969
1.775 1.775 0.000
1.775 1.775 3.529
1.775 1.775 6.971
1.775 1.775 10.968
1.775 1.775 14.409
```

Peak list (8 most intense, 15 to 90 degrees two-theta, low angle first)
two_theta	d (Å)	I_rel
24.82	3.588	12
25.08	3.550	22
35.58	2.524	100
35.77	2.510	51
44.03	2.057	11
51.48	1.775	18
63.77	1.460	17
64.14	1.452	36


Record 2
Theoretical powder XRD pattern of Er3GaNi9Ge2 for λ = 1.5418 Å (Cu Kα), from a crystal structure in Alexandria, relaxed with GGA-PBE.
Intensities are scaled so that the largest is 100.

Atomic structure:
```
Er3GaNi9Ge2
1.0
5.921 0.000 0.000
-2.960 5.128 0.000
0.000 0.000 8.614
Er Ga Ni Ge
3 1 9 2
Cartesian
0.000 0.000 0.000
0.000 3.418 6.169
2.960 1.709 2.445
0.000 0.000 4.307
-1.480 2.564 0.000
0.000 1.367 2.385
-1.777 4.444 2.385
1.183 0.683 6.229
2.960 0.000 0.000
1.480 2.564 0.000
1.777 4.444 2.385
4.738 0.683 6.229
2.960 3.761 6.229
0.000 3.418 1.584
2.960 1.709 7.030
```

Peak list (8 most intense, 15 to 90 degrees two-theta, low angle first)
two_theta	d (Å)	I_rel
27.04	3.298	37
30.19	2.960	53
36.57	2.457	58
40.97	2.203	100
41.95	2.154	20
47.54	1.912	21
51.72	1.767	36
62.77	1.480	25


Record 3
Theoretical powder XRD pattern of NaBi12O20 for λ = 1.5418 Å (Cu Kα), from a crystal structure in Alexandria, relaxed with GGA-PBE.
Intensities are scaled so that the largest is 100.

Atomic structure:
```
NaBi12O20
1.0
-5.144 5.144 5.144
5.144 -5.144 5.144
5.144 5.144 -5.144
Na Bi O
1 12 20
Cartesian
0.000 0.000 0.000
5.132 3.374 -1.892
7.036 -0.012 1.769
3.251 0.012 1.769
3.374 -1.892 5.132
1.769 3.251 0.012
0.012 1.769 3.251
5.156 3.374 1.892
1.769 7.036 -0.012
3.374 1.892 5.156
-1.892 5.132 3.374
1.892 5.156 3.374
-0.012 1.769 7.036
1.481 1.481 -1.481
3.446 3.446 -3.446
1.481 -1.481 1.481
3.446 -3.446 3.446
5.173 -1.340 2.418
3.804 2.726 -0.029
6.483 2.726 0.029
-1.481 1.481 1.481
1.698 1.698 1.698
5.114 1.340 2.418
2.726 -0.029 3.804
2.418 5.173 -1.340
2.418 5.114 1.340
2.726 0.029 6.483
-0.029 3.804 2.726
-3.446 3.446 3.446
3.663 3.663 3.663
1.340 2.418 5.114
-1.340 2.418 5.173
0.029 6.483 2.726
```

Peak list (8 most intense, 15 to 90 degrees two-theta, low angle first)
two_theta	d (Å)	I_rel
24.47	3.637	27
27.42	3.253	100
32.57	2.749	62
51.82	1.764	50
53.44	1.715	19
55.03	1.669	25
61.10	1.517	21
77.66	1.230	19


Record 4
Theoretical powder XRD pattern of AcNd7Tl4 for λ = 1.5418 Å (Cu Kα), from a crystal structure in Alexandria, relaxed with GGA-PBE.
Intensities are scaled so that the largest is 100.

Atomic structure:
```
AcNd7Tl4
1.0
7.396 -3.039 0.000
7.396 3.039 0.000
-5.876 0.000 8.982
Ac Nd Tl
1 7 4
Cartesian
0.000 0.000 0.000
-1.428 0.000 3.528
-2.137 0.000 7.917
2.103 0.000 3.110
7.396 0.000 0.000
6.813 0.000 5.872
11.052 0.000 1.065
10.343 0.000 5.455
0.669 0.000 5.994
5.073 0.000 2.269
3.843 0.000 6.713
8.246 0.000 2.988
```

Peak list (8 most intense, 15 to 90 degrees two-theta, low angle first)
two_theta	d (Å)	I_rel
27.90	3.198	45
28.63	3.118	36
29.41	3.037	100
29.84	2.994	19
31.99	2.798	34
35.17	2.552	69
40.97	2.203	33
55.95	1.644	18


Record 5
Theoretical powder XRD pattern of PmCd4Ag for λ = 1.5418 Å (Cu Kα), from a crystal structure in Alexandria, relaxed with GGA-PBE.
Intensities are scaled so that the largest is 100.

Atomic structure:
```
PmCd4Ag
1.0
8.530 0.000 0.000
0.000 4.313 0.000
0.000 0.000 7.703
Pm Cd Ag
2 8 2
Cartesian
2.132 0.000 0.912
6.397 0.000 6.790
0.000 0.000 3.851
0.402 2.157 6.292
2.132 2.157 3.351
3.863 2.157 6.292
4.265 0.000 3.851
4.667 2.157 1.411
6.397 2.157 4.352
8.128 2.157 1.411
2.132 0.000 5.561
6.397 0.000 2.141
```

Peak list (8 most intense, 15 to 90 degrees two-theta, low angle first)
two_theta	d (Å)	I_rel
29.45	3.033	20
31.71	2.822	100
32.90	2.723	62
34.95	2.568	21
36.55	2.459	27
37.76	2.383	71
41.89	2.157	40
42.38	2.133	27


Record 6
Theoretical powder XRD pattern of SrSi7Ir3 for λ = 1.5418 Å (Cu Kα), from a crystal structure in Alexandria, relaxed with GGA-PBE.
Intensities are scaled so that the largest is 100.

Atomic structure:
```
SrSi7Ir3
1.0
3.851 2.223 6.778
-3.851 2.223 6.778
0.000 -4.447 6.778
Sr Si Ir
2 14 6
Cartesian
0.000 0.000 0.000
0.000 0.000 10.166
-3.026 -0.964 10.759
-0.678 -3.102 9.574
-0.678 -1.345 7.370
0.000 0.000 5.083
-2.347 2.138 9.574
-0.826 1.260 7.370
-1.504 -0.085 12.963
1.504 0.085 7.370
0.826 -1.260 12.963
2.347 -2.138 10.759
0.000 0.000 15.250
0.678 1.345 12.963
0.678 3.102 10.759
3.026 0.964 9.574
-2.627 -0.103 8.472
-1.225 -2.326 11.861
1.402 -2.223 8.472
-1.402 2.223 11.861
1.225 2.326 8.472
2.627 0.103 11.861
```

Peak list (8 most intense, 15 to 90 degrees two-theta, low angle first)
two_theta	d (Å)	I_rel
26.62	3.348	100
35.28	2.544	28
40.57	2.223	32
46.61	1.949	34
49.00	1.859	25
49.19	1.852	27
65.60	1.423	17
69.78	1.348	16


Record 7
Theoretical powder XRD pattern of Tm5Ag3 for λ = 1.5418 Å (Cu Kα), from a crystal structure in Alexandria, relaxed with GGA-PBE.
Intensities are scaled so that the largest is 100.

Atomic structure:
```
Tm5Ag3
1.0
3.548 0.000 0.000
0.000 3.548 0.000
0.000 0.000 15.968
Tm Ag
5 3
Cartesian
0.000 0.000 0.000
0.000 0.000 3.648
0.000 0.000 12.320
1.774 1.774 6.140
1.774 1.774 9.828
0.000 0.000 7.984
1.774 1.774 1.811
1.774 1.774 14.156
```

Peak list (8 most intense, 15 to 90 degrees two-theta, low angle first)
two_theta	d (Å)	I_rel
33.80	2.652	100
35.79	2.509	48
45.44	1.996	8
51.52	1.774	17
59.15	1.562	14
63.05	1.474	33
71.10	1.326	8
86.81	1.122	8